Calculated powder diffraction line list of Sr4CaMn2Ga2O10 for CuKα, from a GGA+U-relaxed structure.

Peak list (6 most intense, 10° ≤ 2θ ≤ 80°, in order of rising 2θ)
h k l  2theta  I/Imax
1 1 0  24.18  17
2 0 -1  30.53  100
-1 1 3  38.66  13
2 2 -2  44.23  20
3 1 0  54.48  13
-1 3 2  59.54  13

Crystal structure
abc: 5.8521 5.8527 9.3386
angles: 107.72 108.00 91.19
Fractional coordinates of all 19 atoms:
Sr 0.0000 0.0000 0.0000
Sr 0.1846 0.1807 0.3828
Sr 0.4874 0.4875 0.9956
Sr 0.6904 0.6846 0.3785
Ca 0.0796 0.0825 0.6871
Mn 0.0930 0.5930 0.1955
Mn 0.5948 0.0917 0.1963
Ga 0.4251 0.7564 0.6873
Ga 0.7561 0.4294 0.6880
O 0.2027 0.7932 0.5052
O 0.3418 0.8402 0.1917
O 0.3496 0.3481 0.2081
O 0.3836 0.9750 0.8669
O 0.4230 0.4237 0.6879
O 0.7601 0.7636 0.6878
O 0.7924 0.2101 0.5053
O 0.8304 0.8291 0.1701
O 0.8411 0.3391 0.1898
O 0.9763 0.3870 0.8676